# 1
This entry pairs a crystal structure of Si23As3 with its simulated powder X-ray diffraction pattern. Radiation: λ = 1.5418 Å (Cu Kα). Structure: DFT lattice parameters and positions (GGA-PBE).
Intensities are scaled so that the largest is 100.

Most intense lines, 10 to 90 degrees two-theta, sorted by position:
two_theta, I/Imax
12.32, 18
27.78, 18
30.49, 79
31.77, 76
33.00, 100
35.35, 21
36.48, 16
52.54, 67
54.18, 20
55.80, 44

Structure:
Cell lengths 10.157, 10.157, 10.157 Å; angles 90.00, 90.00, 90.00 degrees
Atoms (fractional coordinates):
Si (0.000, 0.116, 0.310)
Si (0.000, 0.116, 0.690)
Si (0.000, 0.250, 0.500)
Si (0.000, 0.750, 0.500)
Si (0.000, 0.884, 0.310)
Si (0.000, 0.884, 0.690)
Si (0.116, 0.310, 0.000)
Si (0.116, 0.690, 0.000)
Si (0.184, 0.184, 0.184)
Si (0.184, 0.184, 0.816)
Si (0.184, 0.816, 0.184)
Si (0.184, 0.816, 0.816)
Si (0.190, 0.384, 0.500)
Si (0.190, 0.616, 0.500)
Si (0.250, 0.500, 0.000)
Si (0.310, 0.000, 0.116)
Si (0.310, 0.000, 0.884)
Si (0.316, 0.316, 0.316)
Si (0.316, 0.316, 0.684)
Si (0.316, 0.684, 0.316)
Si (0.316, 0.684, 0.684)
Si (0.384, 0.500, 0.190)
Si (0.384, 0.500, 0.810)
Si (0.500, 0.000, 0.250)
Si (0.500, 0.000, 0.750)
Si (0.500, 0.190, 0.384)
Si (0.500, 0.190, 0.616)
Si (0.500, 0.810, 0.384)
Si (0.500, 0.810, 0.616)
Si (0.616, 0.500, 0.190)
Si (0.616, 0.500, 0.810)
Si (0.684, 0.316, 0.316)
Si (0.684, 0.316, 0.684)
Si (0.684, 0.684, 0.316)
Si (0.684, 0.684, 0.684)
Si (0.690, 0.000, 0.116)
Si (0.690, 0.000, 0.884)
Si (0.750, 0.500, 0.000)
Si (0.810, 0.384, 0.500)
Si (0.810, 0.616, 0.500)
Si (0.816, 0.184, 0.184)
Si (0.816, 0.184, 0.816)
Si (0.816, 0.816, 0.184)
Si (0.816, 0.816, 0.816)
Si (0.884, 0.310, 0.000)
Si (0.884, 0.690, 0.000)
As (0.000, 0.500, 0.250)
As (0.000, 0.500, 0.750)
As (0.250, 0.000, 0.500)
As (0.500, 0.250, 0.000)
As (0.500, 0.750, 0.000)
As (0.750, 0.000, 0.500)

# 2
This entry pairs a crystal structure of SiAs5 with its simulated powder X-ray diffraction pattern. Radiation: λ = 1.5418 Å (Cu Kα). Structure: DFT lattice parameters and positions (GGA-PBE).
Intensities are scaled so that the largest is 100.

Most intense lines, 10 to 90 degrees two-theta, sorted by position:
two_theta, I/Imax
16.82, 40
21.01, 42
32.01, 100
32.14, 90
39.03, 53
46.00, 73
47.43, 57
51.42, 47
58.43, 45
80.62, 25

Structure:
Cell lengths 4.616, 10.542, 5.569 Å; angles 90.00, 90.00, 90.00 degrees
Atoms (fractional coordinates):
Si (0.000, 0.000, 0.000)
Si (0.500, 0.500, 0.000)
As (0.000, 0.000, 0.500)
As (0.000, 0.378, 0.500)
As (0.000, 0.380, 0.000)
As (0.000, 0.620, 0.000)
As (0.000, 0.622, 0.500)
As (0.500, 0.120, 0.000)
As (0.500, 0.122, 0.500)
As (0.500, 0.500, 0.500)
As (0.500, 0.878, 0.500)
As (0.500, 0.880, 0.000)

# 3
This entry pairs a crystal structure of Si4As5 with its simulated powder X-ray diffraction pattern. Radiation: λ = 1.5418 Å (Cu Kα). Structure: DFT lattice parameters and positions (GGA-PBE).
Intensities are scaled so that the largest is 100.

Most intense lines, 10 to 90 degrees two-theta, sorted by position:
two_theta, I/Imax
12.61, 20
25.37, 10
34.77, 13
38.47, 53
39.36, 100
55.54, 17
58.21, 8
70.18, 34
71.95, 16
84.68, 11

Structure:
Cell lengths 7.197, 7.197, 7.197 Å; angles 92.78, 92.78, 154.55 degrees
Atoms (fractional coordinates):
Si (0.000, 0.348, 0.348)
Si (0.000, 0.652, 0.652)
Si (0.348, 0.000, 0.348)
Si (0.652, 0.000, 0.652)
As (0.000, 0.000, 0.000)
As (0.331, 0.331, 0.661)
As (0.331, 0.669, 0.000)
As (0.669, 0.331, 0.000)
As (0.669, 0.669, 0.339)